The following is a computed powder XRD pattern of Mg2Cd4Ag5. It was derived from DFT lattice parameters and positions (PBE), using Cu Kα.

Structure:
Cell: 7.710 18.192 3.072 Å, 90.00 90.00 90.00°
Space group Pbam (No. 55)
Inequivalent atoms, fractional coordinates:
Mg 0.034 0.196 0.000 x4
Cd 0.087 0.643 0.000 x4
Cd 0.205 0.936 0.000 x4
Ag 0.000 0.500 0.500 x2
Ag 0.134 0.069 0.500 x4
Ag 0.219 0.300 0.500 x4

The 10 most intense peaks (10 to 80 degrees two-theta), in order of rising 2θ:
Position (°2θ)  d/Å  Rel. int.
31.71  2.822  23
35.26  2.545  35
36.32  2.473  39
36.48  2.463  32
37.19  2.417  100
37.76  2.382  39
38.77  2.323  43
40.16  2.245  17
40.38  2.234  26
46.35  1.959  20